No. 1
# MgAgOs4
Theoretical X-ray diffraction stick pattern, Cu Kα X-rays. Input: a crystal structure in Alexandria, relaxed with PBE.
No peak broadening, texture or thermal motion is included.

Largest 10 diffraction maxima, sorted by position, 10 to 80 degrees two-theta:
d [Å]  intensity
4.248  634
3.679  33
2.602  67
2.219  1000
2.124  737
1.840  237
1.688  157
1.416  319
1.301  315
1.244  118

Cell lengths 5.2031, 5.2031, 5.2031 Å; angles 60.00, 60.00, 60.00 degrees
Atoms (fractional coordinates):
Mg1 0.0000 0.0000 0.0000
Ag1 0.2500 0.2500 0.2500
Os1 0.1251 0.6250 0.6250
Os2 0.6250 0.1251 0.6250
Os3 0.6250 0.6250 0.1251
Os4 0.6250 0.6250 0.6250

---

No. 2
# MgAg2P
Theoretical X-ray diffraction stick pattern, Cu Kα X-rays. Input: a crystal structure in Alexandria, relaxed with PBE.
No peak broadening, texture or thermal motion is included.

Largest 10 diffraction maxima, sorted by position, 10 to 80 degrees two-theta:
d [Å]  intensity
3.677  575
2.376  1000
2.291  162
2.071  164
2.055  160
2.048  158
1.459  100
1.247  117
1.240  115
1.237  114

Cell lengths 5.0570, 5.0570, 5.0570 Å; angles 132.22, 132.05, 70.02 degrees
Atoms (fractional coordinates):
Mg1 0.0000 0.0000 0.0000
Ag1 0.4992 0.4992 0.0000
Ag2 0.7496 0.2496 0.5000
P1 0.2502 0.7502 0.5000

---

No. 3
# Mg4Ag7Pb
Theoretical X-ray diffraction stick pattern, Cu Kα X-rays. Input: a crystal structure in Alexandria, relaxed with PBE.
No peak broadening, texture or thermal motion is included.

Largest 10 diffraction maxima, sorted by position, 10 to 80 degrees two-theta:
d [Å]  intensity
4.519  860
3.705  340
2.627  1000
2.575  521
2.559  712
2.298  473
2.271  635
2.260  397
1.839  373
1.833  514

Cell lengths 5.9649, 5.9649, 10.4531 Å; angles 116.81, 116.81, 52.27 degrees
Atoms (fractional coordinates):
Mg1 0.1003 0.1003 0.2715
Mg2 0.2495 0.2495 0.8272
Mg3 0.7505 0.7505 0.1728
Mg4 0.8997 0.8997 0.7285
Ag1 0.0000 0.0000 0.5000
Ag2 0.1424 0.1424 0.0212
Ag3 0.2868 0.2868 0.5870
Ag4 0.4478 0.4478 0.1409
Ag5 0.5522 0.5522 0.8591
Ag6 0.7132 0.7132 0.4130
Ag7 0.8576 0.8576 0.9788
Pb1 0.5000 0.5000 0.5000

---

No. 4
# Mg2AgPb2
Theoretical X-ray diffraction stick pattern, Cu Kα X-rays. Input: a crystal structure in Alexandria, relaxed with PBE.
No peak broadening, texture or thermal motion is included.

Largest 10 diffraction maxima, sorted by position, 10 to 80 degrees two-theta:
d [Å]  intensity
4.420  699
3.440  522
2.715  1000
2.432  384
2.210  175
2.131  403
1.859  196
1.719  144
1.636  227
1.359  216

Cell lengths 7.6919, 7.6919, 4.4201 Å; angles 90.00, 90.00, 90.00 degrees
Atoms (fractional coordinates):
Mg1 0.1553 0.3447 0.0000
Mg2 0.3447 0.8447 0.0000
Mg3 0.6553 0.1553 0.0000
Mg4 0.8447 0.6553 0.0000
Ag1 0.0000 0.0000 0.5000
Ag2 0.5000 0.5000 0.5000
Pb1 0.1492 0.6492 0.5000
Pb2 0.3508 0.1492 0.5000
Pb3 0.6492 0.8508 0.5000
Pb4 0.8508 0.3508 0.5000

---

No. 5
# Mg7AgPb2
Theoretical X-ray diffraction stick pattern, Cu Kα X-rays. Input: a crystal structure in Alexandria, relaxed with PBE.
No peak broadening, texture or thermal motion is included.

Largest 10 diffraction maxima, sorted by position, 10 to 80 degrees two-theta:
d [Å]  intensity
5.221  199
3.692  1000
3.014  294
2.610  411
2.131  462
1.846  294
1.651  211
1.574  133
1.395  242
1.231  122

Cell lengths 7.3832, 7.3832, 7.3832 Å; angles 60.00, 60.00, 60.00 degrees
Atoms (fractional coordinates):
Mg1 0.0000 0.0000 0.0000
Mg2 0.2567 0.2567 0.7433
Mg3 0.2567 0.7433 0.2567
Mg4 0.2567 0.7433 0.7433
Mg5 0.7433 0.2567 0.2567
Mg6 0.7433 0.2567 0.7433
Mg7 0.7433 0.7433 0.2567
Ag1 0.5000 0.5000 0.5000
Pb1 0.2500 0.2500 0.2500
Pb2 0.7500 0.7500 0.7500

---

No. 6
# Mg7Ag4Pb
Theoretical X-ray diffraction stick pattern, Cu Kα X-rays. Input: a crystal structure in Alexandria, relaxed with PBE.
No peak broadening, texture or thermal motion is included.

Largest 10 diffraction maxima, sorted by position, 10 to 80 degrees two-theta:
d [Å]  intensity
6.757  608
3.578  481
3.469  380
3.379  323
3.274  1000
2.804  282
2.616  756
2.575  256
2.392  267
2.362  829

Cell lengths 7.4437, 7.4437, 8.8378 Å; angles 123.13, 123.13, 41.15 degrees
Atoms (fractional coordinates):
Mg1 0.0000 0.0000 0.0000
Mg2 0.2313 0.2313 0.6955
Mg3 0.2911 0.2911 0.1214
Mg4 0.4281 0.4281 0.5883
Mg5 0.5719 0.5719 0.4117
Mg6 0.7089 0.7089 0.8786
Mg7 0.7687 0.7687 0.3045
Ag1 0.0486 0.0486 0.7224
Ag2 0.1891 0.1891 0.3547
Ag3 0.8109 0.8109 0.6453
Ag4 0.9514 0.9514 0.2776
Pb1 0.5000 0.5000 0.0000